1.
Starting from a DFT-relaxed cell (PBE+U, Alexandria), the XRD peak list of Na2CrH2F8 was computed for a wavelength of 1.5418 Å.
Kinematic intensities with the Lorentz-polarization factor, no thermal factor.

Top 6 peaks for 5° ≤ 2θ ≤ 70°, by angle:
(1 1 0), 5.229 Å, 16.96 deg, I = 70; (1 1 -1), 4.362 Å, 20.36 deg, I = 55; (0 2 1), 3.152 Å, 28.32 deg, I = 100; (1 3 1), 2.126 Å, 42.53 deg, I = 42; (3 1 -2), 2.112 Å, 42.83 deg, I = 38; (2 2 1), 2.063 Å, 43.89 deg, I = 33

a b c (Å): 7.479 8.156 5.471
angles (deg): 90.00 114.33 90.00
Space group C2/m (No. 12)
One atom of each set of equivalent atoms:
Na  0.000  0.232  0.000 x4
Cr  0.000  0.500  0.500 x2
H  0.163  0.000  0.726 x4
F  0.049  0.000  0.774 x4
F  0.144  0.500  0.280 x4
F  0.158  0.340  0.723 x8

---

2.
Starting from a DFT-relaxed cell (PBE+U, Alexandria), the XRD peak list of CrH18O9F3 was computed for a wavelength of 1.5418 Å.
Kinematic intensities with the Lorentz-polarization factor, no thermal factor.

Top 6 peaks for 5° ≤ 2θ ≤ 70°, by angle:
(1 0 1), 6.200 Å, 14.28 deg, I = 54; (1 1 0), 5.409 Å, 16.39 deg, I = 59; (0 2 1), 4.076 Å, 21.81 deg, I = 26; (0 1 2), 3.783 Å, 23.52 deg, I = 42; (2 1 1), 3.255 Å, 27.40 deg, I = 100; (1 2 2), 2.690 Å, 33.31 deg, I = 27

a b c (Å): 10.8175 10.8175 8.2710
angles (deg): 90.00 90.00 120.00
Space group R3 (No. 146, hexagonal axes)
One atom of each set of equivalent atoms:
Cr  0.0000  0.0000  0.0000 x3
H  0.0390  0.1815  0.7517 x9
H  0.0563  0.8471  0.5152 x9
H  0.0736  0.5902  0.7785 x9
H  0.1483  0.4763  0.1712 x9
H  0.1497  0.4077  0.5486 x9
H  0.1855  0.7058  0.9113 x9
O  0.0052  0.8489  0.1352 x9
O  0.0869  0.2379  0.5667 x9
O  0.1545  0.0032  0.8635 x9
F  0.1791  0.7573  0.0866 x9

---

3.
Starting from a DFT-relaxed cell (PBE+U, Alexandria), the XRD peak list of TlCrH2F was computed for a wavelength of 1.5418 Å.
Kinematic intensities with the Lorentz-polarization factor, no thermal factor.

Top 6 peaks for 5° ≤ 2θ ≤ 70°, by angle:
(0 0 1), 5.365 Å, 16.52 deg, I = 26; (1 0 0), 3.824 Å, 23.26 deg, I = 41; (1 0 1), 3.114 Å, 28.67 deg, I = 100; (1 1 0), 2.704 Å, 33.13 deg, I = 46; (1 1 2), 1.904 Å, 47.76 deg, I = 33; (2 1 1), 1.629 Å, 56.48 deg, I = 31

a b c (Å): 3.824 3.824 5.365
angles (deg): 90.00 90.00 90.00
Space group P4/mmm (No. 123)
One atom of each set of equivalent atoms:
Tl  0.000  0.000  0.000 x1
Cr  0.500  0.500  0.500 x1
H  0.000  0.500  0.000 x2
F  0.000  0.000  0.500 x1

---

4.
Starting from a DFT-relaxed cell (PBE+U, Alexandria), the XRD peak list of Hf2Cr2F was computed for a wavelength of 1.5418 Å.
Kinematic intensities with the Lorentz-polarization factor, no thermal factor.

Top 6 peaks for 5° ≤ 2θ ≤ 70°, by angle:
(0 0 1), 5.058 Å, 17.53 deg, I = 45; (2 1 0), 2.747 Å, 32.60 deg, I = 20; (0 0 2), 2.529 Å, 35.50 deg, I = 27; (2 1 1), 2.414 Å, 37.25 deg, I = 100; (2 1 3), 1.437 Å, 64.90 deg, I = 19; (4 1 1), 1.429 Å, 65.30 deg, I = 15

a b c (Å): 6.142 6.142 5.058
angles (deg): 90.00 90.00 90.00
Space group P4/mbm (No. 127)
One atom of each set of equivalent atoms:
Hf  0.164  0.336  0.000 x4
Cr  0.157  0.657  0.500 x4
F  0.000  0.000  0.000 x2

---

5.
Starting from a DFT-relaxed cell (PBE+U, Alexandria), the XRD peak list of CrHg2F6 was computed for a wavelength of 1.5418 Å.
Kinematic intensities with the Lorentz-polarization factor, no thermal factor.

Top 6 peaks for 5° ≤ 2θ ≤ 70°, by angle:
(0 2 0), 9.305 Å, 9.50 deg, I = 42; (1 3 1), 3.281 Å, 27.18 deg, I = 100; (0 6 0), 3.102 Å, 28.78 deg, I = 20; (2 0 0), 2.776 Å, 32.24 deg, I = 16; (1 5 1), 2.682 Å, 33.42 deg, I = 22; (1 9 1), 1.823 Å, 50.02 deg, I = 18

a b c (Å): 5.552 18.611 5.387
angles (deg): 90.00 90.00 90.00
Space group Cmce (No. 64)
One atom of each set of equivalent atoms:
Cr  0.000  0.000  0.000 x4
Hg  0.000  0.176  0.444 x8
F  0.000  0.100  0.096 x8
F  0.250  0.023  0.750 x8
F  0.250  0.224  0.750 x8

---

6.
Starting from a DFT-relaxed cell (PBE+U, Alexandria), the XRD peak list of Cr2HgRuF was computed for a wavelength of 1.5418 Å.
Kinematic intensities with the Lorentz-polarization factor, no thermal factor.

Top 6 peaks for 5° ≤ 2θ ≤ 70°, by angle:
(1 0 0), 5.285 Å, 16.78 deg, I = 23; (1 1 0), 3.737 Å, 23.81 deg, I = 36; (1 0 1), 3.395 Å, 26.25 deg, I = 100; (2 0 0), 2.642 Å, 33.92 deg, I = 60; (2 1 1), 2.085 Å, 43.39 deg, I = 53; (2 0 2), 1.697 Å, 54.02 deg, I = 31

a b c (Å): 5.285 5.285 4.430
angles (deg): 90.00 90.00 90.00
Space group P4/mmm (No. 123)
One atom of each set of equivalent atoms:
Cr  0.000  0.500  0.000 x2
Hg  0.000  0.000  0.000 x1
Ru  0.500  0.500  0.500 x1
F  0.000  0.000  0.500 x1

---

7.
Starting from a DFT-relaxed cell (PBE+U, Alexandria), the XRD peak list of SrCrHgF6 was computed for a wavelength of 1.5418 Å.
Kinematic intensities with the Lorentz-polarization factor, no thermal factor.

Top 6 peaks for 5° ≤ 2θ ≤ 70°, by angle:
(1 0 1), 4.589 Å, 19.34 deg, I = 38; (1 0 2), 3.542 Å, 25.14 deg, I = 100; (1 1 0), 3.012 Å, 29.66 deg, I = 61; (2 0 2), 2.294 Å, 39.27 deg, I = 31; (1 1 4), 1.883 Å, 48.34 deg, I = 53; (2 1 2), 1.825 Å, 49.97 deg, I = 30

a b c (Å): 6.0230 6.0230 9.6494
angles (deg): 90.00 90.00 120.00
Space group P-31c (No. 163)
One atom of each set of equivalent atoms:
Sr  0.0000  0.0000  0.0000 x2
Cr  0.3333  0.6667  0.2500 x2
Hg  0.3333  0.6667  0.7500 x2
F  0.0829  0.3881  0.1327 x12

---

8.
Starting from a DFT-relaxed cell (PBE+U, Alexandria), the XRD peak list of CrIn2F5 was computed for a wavelength of 1.5418 Å.
Kinematic intensities with the Lorentz-polarization factor, no thermal factor.

Top 6 peaks for 5° ≤ 2θ ≤ 70°, by angle:
(0 1 -1), 3.509 Å, 25.38 deg, I = 100; (1 1 1), 3.395 Å, 26.25 deg, I = 100; (1 0 -1), 3.381 Å, 26.36 deg, I = 98; (0 1 2), 3.180 Å, 28.06 deg, I = 57; (0 2 1), 2.807 Å, 31.88 deg, I = 73; (1 -1 0), 2.660 Å, 33.69 deg, I = 40

a b c (Å): 4.003 5.989 6.582
angles (deg): 71.71 89.70 70.48
Space group P-1 (No. 2)
One atom of each set of equivalent atoms:
Cr  0.000  0.000  0.000 x1
In  0.337  0.322  0.330 x2
F  0.106  0.785  0.298 x2
F  0.150  0.700  0.917 x2
F  0.500  0.000  0.000 x1

---

Please write out number 1 again, unchanged.
Starting from a DFT-relaxed cell (PBE+U, Alexandria), the XRD peak list of Na2CrH2F8 was computed for a wavelength of 1.5418 Å.
Kinematic intensities with the Lorentz-polarization factor, no thermal factor.

Top 6 peaks for 5° ≤ 2θ ≤ 70°, by angle:
(1 1 0), 5.229 Å, 16.96 deg, I = 70; (1 1 -1), 4.362 Å, 20.36 deg, I = 55; (0 2 1), 3.152 Å, 28.32 deg, I = 100; (1 3 1), 2.126 Å, 42.53 deg, I = 42; (3 1 -2), 2.112 Å, 42.83 deg, I = 38; (2 2 1), 2.063 Å, 43.89 deg, I = 33

a b c (Å): 7.479 8.156 5.471
angles (deg): 90.00 114.33 90.00
Space group C2/m (No. 12)
One atom of each set of equivalent atoms:
Na  0.000  0.232  0.000 x4
Cr  0.000  0.500  0.500 x2
H  0.163  0.000  0.726 x4
F  0.049  0.000  0.774 x4
F  0.144  0.500  0.280 x4
F  0.158  0.340  0.723 x8